Diffraction record for Ta12Nb6In. The powder diffraction line list is computed, not measured: it uses a PBE-relaxed structure and CuKα.
Peak positions follow from Bragg's law for the DFT cell and can differ from measured ones.

Structural model:
```
data_Ta12Nb6In
_chemical_formula_sum 'Ta12 Nb6 In1'
_cell_length_a 5.743
_cell_length_b 7.440
_cell_length_c 9.652
_cell_angle_alpha 112.39
_cell_angle_beta 96.66
_cell_angle_gamma 103.54
_space_group_name_H-M_alt 'P 1'
_space_group_IT_number 1
_space_group_name_Hall 'P 1'
loop_
_atom_site_label
_atom_site_fract_x
_atom_site_fract_y
_atom_site_fract_z
Ta1 0.000 0.000 0.000
Ta2 0.004 0.414 0.203
Ta3 0.012 0.200 0.607
Ta4 0.248 0.715 0.101
Ta5 0.256 0.922 0.714
Ta6 0.290 0.504 0.500
Ta7 0.459 0.623 0.813
Ta8 0.493 0.205 0.600
Ta9 0.502 0.412 0.212
Ta10 0.738 0.927 0.707
Ta11 0.746 0.713 0.110
Ta12 0.749 0.127 0.313
Nb1 0.233 0.102 0.299
Nb2 0.249 0.312 0.908
Nb3 0.500 0.815 0.406
Nb4 0.516 0.025 0.014
Nb5 0.753 0.330 0.904
Nb6 0.997 0.797 0.409
In1 0.875 0.564 0.657
```

Principal peaks in the range 2θ = 10–90°, by intensity:
2θ 37.93, intensity 1000; 2θ 38.89, intensity 790; 2θ 38.62, intensity 456; 2θ 38.95, intensity 396; 2θ 55.95, intensity 257; 2θ 69.11, intensity 205; 2θ 71.08, intensity 156; 2θ 54.99, intensity 147

***

Diffraction record for Ti2Nb2In3. The powder diffraction line list is computed, not measured: it uses a PBE-relaxed structure and CuKα.
Peak positions follow from Bragg's law for the DFT cell and can differ from measured ones.

Structural model:
```
data_Ti2Nb2In3
_chemical_formula_sum 'Ti2 Nb2 In3'
_cell_length_a 10.280
_cell_length_b 10.280
_cell_length_c 2.918
_cell_angle_alpha 90.00
_cell_angle_beta 90.00
_cell_angle_gamma 153.84
_space_group_name_H-M_alt 'P 1'
_space_group_IT_number 1
_space_group_name_Hall 'P 1'
loop_
_atom_site_label
_atom_site_fract_x
_atom_site_fract_y
_atom_site_fract_z
Ti1 0.071 0.929 0.000
Ti2 0.929 0.071 0.000
Nb1 0.212 0.788 0.000
Nb2 0.788 0.212 0.000
In1 0.350 0.650 0.500
In2 0.500 0.500 0.500
In3 0.650 0.350 0.500
```

Principal peaks in the range 2θ = 10–90°, by intensity:
2θ 36.88, intensity 1000; 2θ 36.63, intensity 778; 2θ 38.71, intensity 452; 2θ 41.08, intensity 318; 2θ 76.02, intensity 226; 2θ 57.72, intensity 223; 2θ 38.85, intensity 195; 2θ 42.99, intensity 184

***

Diffraction record for TiNb6In3. The powder diffraction line list is computed, not measured: it uses a PBE-relaxed structure and CuKα.
Peak positions follow from Bragg's law for the DFT cell and can differ from measured ones.

Structural model:
```
data_TiNb6In3
_chemical_formula_sum 'Ti1 Nb6 In3'
_cell_length_a 5.775
_cell_length_b 5.775
_cell_length_c 7.476
_cell_angle_alpha 104.44
_cell_angle_beta 104.44
_cell_angle_gamma 54.93
_space_group_name_H-M_alt 'P 1'
_space_group_IT_number 1
_space_group_name_Hall 'P 1'
loop_
_atom_site_label
_atom_site_fract_x
_atom_site_fract_y
_atom_site_fract_z
Ti1 0.000 0.000 0.000
Nb1 0.086 0.591 0.187
Nb2 0.162 0.162 0.429
Nb3 0.409 0.914 0.813
Nb4 0.591 0.086 0.187
Nb5 0.838 0.838 0.571
Nb6 0.914 0.409 0.813
In1 0.404 0.404 0.818
In2 0.500 0.500 0.500
In3 0.596 0.596 0.182
```

Principal peaks in the range 2θ = 10–90°, by intensity:
2θ 38.82, intensity 1000; 2θ 38.11, intensity 736; 2θ 37.25, intensity 721; 2θ 42.13, intensity 569; 2θ 37.61, intensity 545; 2θ 39.97, intensity 514; 2θ 35.71, intensity 434; 2θ 33.43, intensity 380

***

Diffraction record for TiNb3In2. The powder diffraction line list is computed, not measured: it uses a PBE-relaxed structure and CuKα.
Peak positions follow from Bragg's law for the DFT cell and can differ from measured ones.

Structural model:
```
data_TiNb3In2
_chemical_formula_sum 'Ti2 Nb6 In4'
_cell_length_a 4.473
_cell_length_b 9.063
_cell_length_c 6.078
_cell_angle_alpha 90.00
_cell_angle_beta 111.57
_cell_angle_gamma 90.00
_space_group_name_H-M_alt 'P 1'
_space_group_IT_number 1
_space_group_name_Hall 'P 1'
loop_
_atom_site_label
_atom_site_fract_x
_atom_site_fract_y
_atom_site_fract_z
Ti1 0.166 0.000 0.331
Ti2 0.834 0.000 0.669
Nb1 0.000 0.241 0.000
Nb2 0.000 0.759 0.000
Nb3 0.329 0.243 0.657
Nb4 0.329 0.757 0.657
Nb5 0.671 0.243 0.343
Nb6 0.671 0.757 0.343
In1 0.165 0.500 0.330
In2 0.500 0.000 0.000
In3 0.500 0.500 0.000
In4 0.835 0.500 0.670
```

Principal peaks in the range 2θ = 10–90°, by intensity:
2θ 36.97, intensity 1000; 2θ 39.78, intensity 200; 2θ 40.33, intensity 196; 2θ 71.12, intensity 137; 2θ 70.37, intensity 136; 2θ 57.94, intensity 128; 2θ 48.30, intensity 113; 2θ 78.70, intensity 101

***

Diffraction record for TiNb14In. The powder diffraction line list is computed, not measured: it uses a PBE-relaxed structure and CuKα.
Peak positions follow from Bragg's law for the DFT cell and can differ from measured ones.

Structural model:
```
data_TiNb14In
_chemical_formula_sum 'Ti1 Nb14 In1'
_cell_length_a 6.658
_cell_length_b 6.658
_cell_length_c 6.631
_cell_angle_alpha 90.00
_cell_angle_beta 90.00
_cell_angle_gamma 90.00
_space_group_name_H-M_alt 'P 1'
_space_group_IT_number 1
_space_group_name_Hall 'P 1'
loop_
_atom_site_label
_atom_site_fract_x
_atom_site_fract_y
_atom_site_fract_z
Ti1 0.000 0.000 0.000
Nb1 0.000 0.000 0.500
Nb2 0.000 0.500 0.000
Nb3 0.000 0.500 0.500
Nb4 0.244 0.244 0.257
Nb5 0.244 0.244 0.743
Nb6 0.244 0.756 0.257
Nb7 0.244 0.756 0.743
Nb8 0.500 0.000 0.000
Nb9 0.500 0.000 0.500
Nb10 0.500 0.500 0.500
Nb11 0.756 0.244 0.257
Nb12 0.756 0.244 0.743
Nb13 0.756 0.756 0.257
Nb14 0.756 0.756 0.743
In1 0.500 0.500 0.000
```

Principal peaks in the range 2θ = 10–90°, by intensity:
2θ 38.29, intensity 1000; 2θ 69.17, intensity 219; 2θ 55.18, intensity 111; 2θ 69.33, intensity 109; 2θ 82.04, intensity 67; 2θ 55.43, intensity 55; 2θ 81.84, intensity 34; 2θ 30.06, intensity 11

***

Diffraction record for Nb6VIn2. The powder diffraction line list is computed, not measured: it uses a PBE-relaxed structure and CuKα.
Peak positions follow from Bragg's law for the DFT cell and can differ from measured ones.

Structural model:
```
data_Nb6VIn2
_chemical_formula_sum 'Nb6 V1 In2'
_cell_length_a 5.724
_cell_length_b 4.736
_cell_length_c 6.689
_cell_angle_alpha 90.00
_cell_angle_beta 103.80
_cell_angle_gamma 90.00
_space_group_name_H-M_alt 'P 1'
_space_group_IT_number 1
_space_group_name_Hall 'P 1'
loop_
_atom_site_label
_atom_site_fract_x
_atom_site_fract_y
_atom_site_fract_z
Nb1 0.100 0.000 0.195
Nb2 0.203 0.500 0.902
Nb3 0.361 0.500 0.303
Nb4 0.639 0.500 0.697
Nb5 0.797 0.500 0.098
Nb6 0.900 0.000 0.805
V1 0.000 0.500 0.500
In1 0.332 0.000 0.655
In2 0.668 0.000 0.345
```

Principal peaks in the range 2θ = 10–90°, by intensity:
2θ 37.21, intensity 1000; 2θ 40.14, intensity 679; 2θ 38.00, intensity 500; 2θ 40.97, intensity 325; 2θ 57.10, intensity 237; 2θ 68.13, intensity 160; 2θ 34.18, intensity 147; 2θ 68.49, intensity 134